Theoretical X-ray diffraction stick pattern of ScAg2F8 for Cu Ka, from DFT lattice parameters and positions (GGA-PBE).
Intensities are scaled so that the largest is 100.

Crystal structure
Cell: 6.7479 6.7479 4.1996 Å, 90.00 90.00 120.00°
Space group P-3 (No. 147)
Symmetry-distinct sites (fractional):
Sc: 0.0000 0.0000 0.0000 [1 per cell]
Ag: 0.3333 0.6667 0.7545 [2 per cell]
F: 0.1481 0.2976 0.7471 [6 per cell]
F: 0.3333 0.6667 0.2534 [2 per cell]

Top 10 peaks for 5° ≤ 2θ ≤ 70°, sorted by position:
26.1°, intensity 99, hkl 1 0 1
26.4°, intensity 100, hkl 1 1 0
30.6°, intensity 19, hkl 2 0 0
46.5°, intensity 50, hkl 2 1 1
46.6°, intensity 19, hkl 3 0 0
51.2°, intensity 14, hkl 1 1 2
53.8°, intensity 17, hkl 0 2 2
54.4°, intensity 26, hkl 2 2 0
60.9°, intensity 15, hkl 2 1 2
61.3°, intensity 15, hkl 4 -3 1